[1]
Ca2MgCoC: computed X-ray diffraction stick pattern (Cu Kα, 1.54184 Å), based on a crystal structure in Alexandria, relaxed with GGA-PBE.
Peak positions follow from Bragg's law for the DFT cell and can differ from measured ones.

Crystal structure
```
data_Ca2MgCoC
_chemical_formula_sum 'Ca2 Mg1 Co1 C1'
_cell_length_a 5.2243
_cell_length_b 5.2243
_cell_length_c 3.6717
_cell_angle_alpha 90.00
_cell_angle_beta 90.00
_cell_angle_gamma 90.00
_space_group_name_H-M_alt 'P 4/m m m'
_space_group_IT_number 123
_space_group_name_Hall '-P 4 2'
loop_
_atom_site_label
_atom_site_type_symbol
_atom_site_fract_x
_atom_site_fract_y
_atom_site_fract_z
_atom_site_occupancy
Ca1 Ca 0.0000 0.5000 0.0000 1
Mg1 Mg 0.0000 0.0000 0.5000 1
Co1 Co 0.5000 0.5000 0.5000 1
C1 C 0.5000 0.5000 0.0000 1
```

Most intense lines, 5° ≤ 2θ ≤ 70°, sorted by position:
2θ/deg	intensity
17.0	27
29.7	4
34.3	65
34.4	100
38.5	6
46.0	2
49.3	21
49.7	10
61.6	33
61.8	20



[2]
LiTmCu5: computed X-ray diffraction stick pattern (Cu Kα, 1.54184 Å), based on a crystal structure in Alexandria, relaxed with GGA-PBE.
Peak positions follow from Bragg's law for the DFT cell and can differ from measured ones.

Crystal structure
```
data_LiTmCu5
_chemical_formula_sum 'Li4 Tm4 Cu20'
_cell_length_a 8.0069
_cell_length_b 5.0457
_cell_length_c 10.1592
_cell_angle_alpha 90.00
_cell_angle_beta 90.00
_cell_angle_gamma 90.00
_space_group_name_H-M_alt 'P n m a'
_space_group_IT_number 62
loop_
_space_group_symop_operation_xyz
'x,y,z'
'-x,-y,-z'
'-x+1/2,-y,z+1/2'
'x+1/2,y,-z+1/2'
'x+1/2,-y+1/2,-z+1/2'
'-x+1/2,y+1/2,z+1/2'
'-x,y+1/2,-z'
'x,-y+1/2,z'
loop_
_atom_site_label
_atom_site_type_symbol
_atom_site_fract_x
_atom_site_fract_y
_atom_site_fract_z
_atom_site_occupancy
Li1 Li 0.1381 0.2500 0.1410 1
Tm1 Tm 0.2470 0.7500 0.9374 1
Cu1 Cu 0.0613 0.2500 0.9042 1
Cu2 Cu 0.0687 0.5064 0.6896 1
Cu3 Cu 0.0954 0.7500 0.4825 1
Cu4 Cu 0.1827 0.7500 0.2482 1
```

Most intense lines, 5° ≤ 2θ ≤ 70°, sorted by position:
2θ/deg	intensity
20.7	20
22.6	24
35.6	13
37.1	28
39.2	100
39.9	19
41.5	20
42.3	15
46.3	25
66.3	19



[3]
BaCa4Ag2: computed X-ray diffraction stick pattern (Cu Kα, 1.54184 Å), based on a crystal structure in Alexandria, relaxed with GGA-PBE.
Peak positions follow from Bragg's law for the DFT cell and can differ from measured ones.

Crystal structure
```
data_BaCa4Ag2
_chemical_formula_sum 'Ba2 Ca8 Ag4'
_cell_length_a 8.5304
_cell_length_b 6.9716
_cell_length_c 9.0936
_cell_angle_alpha 90.00
_cell_angle_beta 112.24
_cell_angle_gamma 90.00
_space_group_name_H-M_alt 'P 1 21/m 1'
_space_group_IT_number 11
loop_
_space_group_symop_operation_xyz
'x,y,z'
'-x,-y,-z'
'-x,y+1/2,-z'
'x,-y+1/2,z'
loop_
_atom_site_label
_atom_site_type_symbol
_atom_site_fract_x
_atom_site_fract_y
_atom_site_fract_z
_atom_site_occupancy
Ba1 Ba 0.0060 0.2500 0.3485 1
Ca1 Ca 0.2435 0.0006 0.0818 1
Ca2 Ca 0.3477 0.2500 0.7691 1
Ca3 Ca 0.3970 0.7500 0.5165 1
Ag1 Ag 0.0183 0.7500 0.2218 1
Ag2 Ag 0.4177 0.7500 0.8728 1
```

Most intense lines, 5° ≤ 2θ ≤ 70°, sorted by position:
2θ/deg	intensity
12.1	41
22.5	38
23.6	63
25.6	82
27.6	58
28.4	72
30.4	72
32.6	100
34.3	86
34.5	41



[4]
NdSm2DyTm4: computed X-ray diffraction stick pattern (Cu Kα, 1.54184 Å), based on a crystal structure in Alexandria, relaxed with GGA-PBE.
Peak positions follow from Bragg's law for the DFT cell and can differ from measured ones.

Crystal structure
```
data_NdSm2DyTm4
_chemical_formula_sum 'Nd2 Sm4 Dy2 Tm8'
_cell_length_a 7.1090
_cell_length_b 7.1096
_cell_length_c 12.2426
_cell_angle_alpha 73.19
_cell_angle_beta 73.19
_cell_angle_gamma 60.04
_space_group_name_H-M_alt 'P -1'
_space_group_IT_number 2
loop_
_space_group_symop_operation_xyz
'x,y,z'
'-x,-y,-z'
loop_
_atom_site_label
_atom_site_type_symbol
_atom_site_fract_x
_atom_site_fract_y
_atom_site_fract_z
_atom_site_occupancy
Nd1 Nd 0.0000 0.0000 0.0000 1
Nd2 Nd 0.5000 0.0000 0.5000 1
Sm1 Sm 0.0000 0.0000 0.5000 1
Sm2 Sm 0.0000 0.5000 0.0000 1
Sm3 Sm 0.0000 0.5000 0.5000 1
Sm4 Sm 0.5000 0.5000 0.5000 1
Dy1 Dy 0.5000 0.0000 0.0000 1
Dy2 Dy 0.5000 0.5000 0.0000 1
Tm1 Tm 0.2503 0.2503 0.2490 1
Tm2 Tm 0.2498 0.2499 0.7511 1
Tm3 Tm 0.2500 0.7492 0.7510 1
Tm4 Tm 0.2508 0.7502 0.2490 1
```

Most intense lines, 5° ≤ 2θ ≤ 70°, sorted by position:
2θ/deg	intensity
30.8	100
31.0	33
35.8	67
51.4	24
51.6	24
61.2	19
61.3	24
61.5	14
64.2	12
64.6	4